Record 1
This entry pairs a crystal structure of MgTe3WO12 with its calculated X-ray diffraction stick pattern. Radiation: Cu Kα (weighted mean of Kα1 and Kα2). Structure: a GGA+U-relaxed structure.
Lines closer than 0.1° are merged.

The 12 most intense peaks (10° ≤ 2θ ≤ 80°), in order of rising 2θ:
- 2θ 23.32, I 100
- 2θ 23.43, I 50
- 2θ 32.14, I 19
- 2θ 32.25, I 18
- 2θ 32.39, I 19
- 2θ 34.13, I 28
- 2θ 34.47, I 14
- 2θ 47.58, I 9
- 2θ 47.77, I 9
- 2θ 47.92, I 9
- 2θ 52.31, I 14
- 2θ 52.50, I 12

Structure:
```
MgTe3WO12
1.0
5.204 0.000 0.000
0.018 5.586 0.000
0.029 0.595 7.644
Mg Te W O
1 3 1 12
direct
0.000 0.000 0.000
0.002 0.598 0.292
0.497 0.106 0.791
0.985 0.585 0.772
0.504 0.105 0.300
0.121 0.593 0.525
0.185 0.277 0.862
0.201 0.912 0.232
0.290 0.386 0.237
0.303 0.828 0.862
0.399 0.094 0.539
0.628 0.120 0.046
0.650 0.416 0.728
0.707 0.817 0.346
0.792 0.310 0.341
0.814 0.945 0.757
0.896 0.639 0.055
```

Record 2
This entry pairs a crystal structure of MoH4O5 with its calculated X-ray diffraction stick pattern. Radiation: Cu Kα (weighted mean of Kα1 and Kα2). Structure: a GGA+U-relaxed structure.
Lines closer than 0.1° are merged.

The 12 most intense peaks (10° ≤ 2θ ≤ 80°), in order of rising 2θ:
- 2θ 13.84, I 100
- 2θ 21.01, I 39
- 2θ 21.95, I 38
- 2θ 23.26, I 41
- 2θ 26.04, I 53
- 2θ 27.10, I 14
- 2θ 27.89, I 21
- 2θ 30.48, I 14
- 2θ 30.67, I 14
- 2θ 42.79, I 18
- 2θ 44.37, I 10
- 2θ 44.77, I 11

Structure:
```
MoH4O5
1.0
4.285 0.000 0.000
1.050 6.398 0.000
0.054 0.030 8.097
Mo H O
2 8 10
direct
0.000 0.000 0.000
0.108 0.968 0.501
0.222 0.625 0.876
0.414 0.427 0.652
0.434 0.544 0.279
0.479 0.182 0.010
0.625 0.791 0.532
0.686 0.426 0.779
0.711 0.542 0.153
0.889 0.343 0.372
0.000 0.263 0.468
0.034 0.012 0.215
0.067 0.954 0.716
0.112 0.705 0.971
0.128 0.709 0.432
0.502 0.516 0.731
0.532 0.030 0.991
0.577 0.939 0.498
0.617 0.454 0.230
0.987 0.259 0.931
```

Record 3
This entry pairs a crystal structure of MgFeCo2O6 with its calculated X-ray diffraction stick pattern. Radiation: Cu Kα (weighted mean of Kα1 and Kα2). Structure: a GGA+U-relaxed structure.
Lines closer than 0.1° are merged.

The 12 most intense peaks (10° ≤ 2θ ≤ 80°), in order of rising 2θ:
- 2θ 17.98, I 100
- 2θ 26.30, I 7
- 2θ 36.21, I 16
- 2θ 36.35, I 25
- 2θ 37.75, I 19
- 2θ 39.73, I 18
- 2θ 45.01, I 19
- 2θ 46.90, I 16
- 2θ 50.71, I 12
- 2θ 63.57, I 9
- 2θ 64.10, I 7
- 2θ 65.82, I 6

Structure:
```
MgFeCo2O6
1.0
2.930 0.000 0.000
0.200 5.406 0.000
1.435 2.355 6.805
Mg Fe Co O
1 1 2 6
direct
0.000 0.000 0.000
0.731 0.942 0.557
0.047 0.572 0.876
0.358 0.318 0.238
0.219 0.700 0.600
0.229 0.180 0.524
0.498 0.298 0.949
0.614 0.856 0.836
0.845 0.042 0.280
0.931 0.579 0.140
```

Record 4
This entry pairs a crystal structure of Co3As4O16 with its calculated X-ray diffraction stick pattern. Radiation: Cu Kα (weighted mean of Kα1 and Kα2). Structure: a GGA+U-relaxed structure.
Lines closer than 0.1° are merged.

The 12 most intense peaks (10° ≤ 2θ ≤ 80°), in order of rising 2θ:
- 2θ 13.15, I 70
- 2θ 20.38, I 74
- 2θ 21.15, I 30
- 2θ 25.24, I 83
- 2θ 26.61, I 100
- 2θ 30.59, I 33
- 2θ 34.57, I 17
- 2θ 35.67, I 76
- 2θ 36.47, I 17
- 2θ 37.94, I 17
- 2θ 38.63, I 18
- 2θ 53.62, I 18

Structure:
```
Co3As4O16
1.0
9.007 0.000 0.000
0.000 5.028 0.000
-5.468 0.000 14.129
Co As O
6 8 32
direct
0.000 0.000 0.000
0.000 0.500 0.500
0.292 0.018 0.629
0.292 0.482 0.129
0.708 0.518 0.871
0.708 0.982 0.371
0.076 0.026 0.397
0.076 0.474 0.897
0.468 0.013 0.856
0.468 0.487 0.356
0.532 0.513 0.644
0.532 0.987 0.144
0.924 0.526 0.103
0.924 0.974 0.603
0.030 0.691 0.405
0.030 0.809 0.905
0.095 0.693 0.093
0.095 0.807 0.593
0.126 0.089 0.305
0.126 0.411 0.805
0.209 0.170 0.503
0.209 0.330 0.003
0.304 0.546 0.252
0.304 0.954 0.752
0.375 0.142 0.164
0.375 0.358 0.664
0.403 0.598 0.442
0.403 0.902 0.942
0.466 0.660 0.124
0.466 0.840 0.624
0.534 0.160 0.376
0.534 0.340 0.876
0.597 0.098 0.058
0.597 0.402 0.558
0.625 0.642 0.336
0.625 0.858 0.836
0.696 0.046 0.248
0.696 0.454 0.748
0.791 0.670 0.997
0.791 0.830 0.497
0.874 0.589 0.195
0.874 0.911 0.695
0.905 0.193 0.407
0.905 0.307 0.907
0.970 0.191 0.095
0.970 0.309 0.595
```

Record 5
This entry pairs a crystal structure of AlSbW2O8 with its calculated X-ray diffraction stick pattern. Radiation: Cu Kα (weighted mean of Kα1 and Kα2). Structure: a GGA+U-relaxed structure.
Lines closer than 0.1° are merged.

The 12 most intense peaks (10° ≤ 2θ ≤ 80°), in order of rising 2θ:
- 2θ 19.03, I 18
- 2θ 23.30, I 18
- 2θ 24.79, I 44
- 2θ 30.25, I 100
- 2θ 34.51, I 20
- 2θ 36.30, I 30
- 2θ 42.96, I 18
- 2θ 52.59, I 15
- 2θ 52.73, I 19
- 2θ 54.03, I 32
- 2θ 59.21, I 16
- 2θ 64.43, I 16

Structure:
```
AlSbW2O8
1.0
5.198 0.000 0.000
0.000 5.628 0.000
-5.184 0.000 9.330
Al Sb W O
2 2 4 16
direct
0.000 0.166 0.250
0.000 0.834 0.750
0.500 0.138 0.750
0.500 0.862 0.250
0.242 0.342 0.998
0.242 0.658 0.498
0.758 0.342 0.502
0.758 0.658 0.002
0.028 0.384 0.122
0.028 0.616 0.622
0.057 0.100 0.640
0.057 0.900 0.140
0.428 0.121 0.360
0.428 0.879 0.860
0.475 0.379 0.882
0.475 0.621 0.382
0.525 0.379 0.618
0.525 0.621 0.118
0.572 0.121 0.140
0.572 0.879 0.640
0.943 0.100 0.860
0.943 0.900 0.360
0.972 0.384 0.378
0.972 0.616 0.878
```

Record 6
This entry pairs a crystal structure of Li5VCr3O8 with its calculated X-ray diffraction stick pattern. Radiation: Cu Kα (weighted mean of Kα1 and Kα2). Structure: a GGA+U-relaxed structure.
Lines closer than 0.1° are merged.

The 12 most intense peaks (10° ≤ 2θ ≤ 80°), in order of rising 2θ:
- 2θ 17.51, I 39
- 2θ 18.01, I 76
- 2θ 34.16, I 15
- 2θ 34.70, I 26
- 2θ 34.96, I 14
- 2θ 36.48, I 13
- 2θ 42.07, I 100
- 2θ 46.52, I 7
- 2θ 55.63, I 9
- 2θ 60.32, I 26
- 2θ 61.70, I 28
- 2θ 77.50, I 12

Structure:
```
Li5VCr3O8
1.0
3.007 1.736 5.065
-3.007 1.736 5.065
0.000 -3.472 5.065
Li V Cr O
5 1 3 8
direct
0.000 0.000 0.500
0.000 0.500 0.000
0.065 0.065 0.065
0.500 0.000 0.000
0.935 0.935 0.935
0.500 0.500 0.500
0.000 0.500 0.500
0.500 0.000 0.500
0.500 0.500 0.000
0.252 0.252 0.726
0.252 0.726 0.252
0.259 0.259 0.259
0.274 0.748 0.748
0.726 0.252 0.252
0.741 0.741 0.741
0.748 0.274 0.748
0.748 0.748 0.274
```